Structure and theoretical powder diffraction line list of VSiO3 (a GGA+U-relaxed structure; Cu Kα, 1.54184 Å).
Peak positions follow from Bragg's law for the DFT cell and can differ from measured ones.

Atomic structure:
Cell: 6.666 6.666 5.055 Å, 97.67 97.67 86.53°
Sites, in units of the cell vectors:
V 0.094 0.906 0.750
V 0.276 0.724 0.250
V 0.724 0.276 0.750
V 0.906 0.094 0.250
Si 0.208 0.387 0.711
Si 0.387 0.208 0.211
Si 0.613 0.792 0.789
Si 0.792 0.613 0.289
O 0.033 0.220 0.650
O 0.144 0.606 0.854
O 0.220 0.033 0.150
O 0.296 0.406 0.415
O 0.394 0.856 0.646
O 0.406 0.296 0.915
O 0.594 0.704 0.085
O 0.606 0.144 0.354
O 0.704 0.594 0.585
O 0.780 0.967 0.850
O 0.856 0.394 0.146
O 0.967 0.780 0.350

Peak list (8 most intense, 2θ = 5–70°, sorted by position)
2θ (°)	I (rel.)
27.0	43
29.7	71
30.6	93
34.5	70
34.9	100
36.2	68
42.8	52
63.2	49